1.
This entry pairs a crystal structure of CePrTh2Se4 with its computed powder diffractogram. Radiation: Cu Kα (λ = 1.5418 Å). Structure: a crystal structure in Alexandria, relaxed with GGA-PBE.
Lines closer than 0.1° are merged.

Crystal structure
Cell lengths 7.2417, 4.2267, 7.3400 Å; angles 90.00, 109.49, 90.00 degrees
Space group P2/m (No. 10)
Unique sites:
1 Ce 0.0000 0.0000 0.0000 (multiplicity 1)
2 Pr 0.5000 0.5000 0.0000 (multiplicity 1)
3 Th 0.0000 0.5000 0.5000 (multiplicity 1)
4 Th 0.5000 0.0000 0.5000 (multiplicity 1)
5 Se 0.2480 0.0000 0.7499 (multiplicity 2)
6 Se 0.2478 0.5000 0.2486 (multiplicity 2)

Top 10 peaks for 2θ = 5–70°, low angle first:
2θ = 25.75°, 3.460 Å, rel. 72, (0 0 2)
2θ = 25.85°, 3.446 Å, rel. 144, (1 1 -1)
2θ = 26.11°, 3.413 Å, rel. 70, (2 0 0)
2θ = 29.98°, 2.980 Å, rel. 1000, (1 1 1)
2θ = 42.73°, 2.116 Å, rel. 382, (0 2 0)
2θ = 42.99°, 2.104 Å, rel. 125, (2 0 2)
2θ = 43.16°, 2.096 Å, rel. 248, (3 1 -1)
2θ = 52.93°, 1.730 Å, rel. 68, (0 0 4)
2θ = 53.15°, 1.723 Å, rel. 135, (2 2 -2)
2θ = 62.27°, 1.491 Å, rel. 84, (2 2 2)

2.
This entry pairs a crystal structure of PmHo5Cu6 with its computed powder diffractogram. Radiation: Cu Kα (λ = 1.5418 Å). Structure: a crystal structure in Alexandria, relaxed with GGA-PBE.
Lines closer than 0.1° are merged.

Crystal structure
Cell lengths 4.9226, 14.7974, 6.8860 Å; angles 90.00, 90.00, 90.00 degrees
Space group Cmmm (No. 65)
Unique sites:
1 Pm 0.0000 0.0000 0.0000 (multiplicity 2)
2 Ho 0.0000 0.0000 0.5000 (multiplicity 2)
3 Ho 0.0000 0.3321 0.0000 (multiplicity 4)
4 Ho 0.0000 0.3339 0.5000 (multiplicity 4)
5 Cu 0.0000 0.1696 0.2525 (multiplicity 8)
6 Cu 0.0000 0.5000 0.2607 (multiplicity 4)

Top 10 peaks for 2θ = 5–70°, low angle first:
2θ = 25.57°, 3.484 Å, rel. 198, (1 3 0)
2θ = 25.88°, 3.443 Å, rel. 96, (0 0 2)
2θ = 36.47°, 2.464 Å, rel. 509, (2 0 0)
2θ = 36.70°, 2.449 Å, rel. 1000, (1 3 2)
2θ = 45.26°, 2.004 Å, rel. 90, (0 6 2)
2θ = 52.53°, 1.742 Å, rel. 176, (2 6 0)
2θ = 53.21°, 1.722 Å, rel. 84, (0 0 4)
2θ = 59.46°, 1.554 Å, rel. 42, (2 6 2)
2θ = 65.78°, 1.420 Å, rel. 351, (3 3 2)
2θ = 66.23°, 1.411 Å, rel. 171, (2 0 4)